(1)
This entry pairs a crystal structure of Ti4NiMo3 with its calculated powder diffractogram. Radiation: CuKα. Structure: a DFT-relaxed cell (PBE, Alexandria).
Lines closer than 0.1° are merged.

Structure:
Cell: 3.153 4.474 8.705 Å, 90.00 90.00 90.00°
Space group Pmmm (No. 47)
One atom of each set of equivalent atoms:
Ti 0.000 0.000 0.000 x1
Ti 0.000 0.000 0.500 x1
Ti 0.000 0.500 0.244 x2
Ni 0.500 0.500 0.000 x1
Mo 0.500 0.000 0.244 x2
Mo 0.500 0.500 0.500 x1

Main lines, in order of falling intensity (2θ = 10–80°):
- 2.218 Å, I 100, (1 1 2)
- 2.237 Å, I 26, (0 2 0)
- 1.288 Å, I 24, (2 2 0)
- 2.176 Å, I 23, (0 0 4)
- 1.560 Å, I 15, (0 2 4)
- 1.264 Å, I 15, (1 1 6)
- 3.120 Å, I 12, (0 1 2)
- 1.577 Å, I 8, (2 0 0)


(2)
This entry pairs a crystal structure of TlNiMo2 with its calculated powder diffractogram. Radiation: CuKα. Structure: a DFT-relaxed cell (PBE, Alexandria).
Lines closer than 0.1° are merged.

Structure:
Cell: 3.363 4.618 8.611 Å, 90.00 90.00 90.00°
Space group Cmm2 (No. 35)
One atom of each set of equivalent atoms:
Tl 0.000 0.000 0.000 x2
Ni 0.000 0.500 0.745 x2
Mo 0.000 0.000 0.531 x2
Mo 0.000 0.500 0.291 x2

Main lines, in order of falling intensity (2θ = 10–80°):
- 2.298 Å, I 100, (1 1 2)
- 2.309 Å, I 27, (0 2 0)
- 2.153 Å, I 17, (0 0 4)
- 1.331 Å, I 17, (1 3 2)
- 8.611 Å, I 15, (0 0 1)
- 2.592 Å, I 14, (1 1 1)
- 1.574 Å, I 13, (0 2 4)
- 4.305 Å, I 12, (0 0 2)